For LaNdTe4Se2, a cell relaxed with GGA-PBE gives the computed powder XRD pattern in this record (Cu Kα, 1.54184 Å).
Kinematic intensities with the Lorentz-polarization factor, no thermal factor.

Peak list (10 most intense, 5° ≤ 2θ ≤ 70°, low angle first)
hkl 0 0 8, 2θ = 27.3°, I = 44
hkl 1 1 3, 2θ = 31.1°, I = 100
hkl 1 1 5, 2θ = 34.1°, I = 42
hkl 1 1 7, 2θ = 38.1°, I = 27
hkl 2 0 0, 2θ = 41.9°, I = 44
hkl 1 1 11, 2θ = 48.6°, I = 18
hkl 2 0 8, 2θ = 50.8°, I = 31
hkl 2 2 0, 2θ = 60.8°, I = 17
hkl 2 2 8, 2θ = 67.9°, I = 13
hkl 3 1 3, 2θ = 69.8°, I = 19

Structure:
Lattice parameters (Å, degrees): 4.3118 4.3109 26.1111 90.00 90.00 90.00
Space group Amm2 (No. 38)
Symmetry-distinct sites (fractional):
La  0.0000  0.0000  0.0000
Nd  0.5000  0.0000  0.3582
Te  0.0000  0.0000  0.2566
Te  0.0000  0.0000  0.6039
Te  0.5000  0.0000  0.1039
Te  0.5000  0.0000  0.7567
Se  0.0000  0.0000  0.8834
Se  0.5000  0.0000  0.4740